No. 1
Computed powder X-ray diffraction pattern of Y3Tm2Co2 for CuKα, from a DFT-relaxed cell (GGA-PBE, Alexandria).
Peak positions follow from Bragg's law for the DFT cell and can differ from measured ones.

Main lines, most intense first (2θ from 10° to 90°):
| 2theta | intensity |
| --- | --- |
| 31.90 | 100 |
| 33.46 | 98 |
| 35.39 | 98 |
| 35.13 | 81 |
| 33.34 | 78 |
| 30.54 | 73 |
| 29.63 | 63 |
| 30.14 | 51 |
| 58.22 | 45 |
| 50.00 | 41 |

Structure:
Unit cell a=6.236 b=6.236 c=8.800 alpha=114.62 beta=114.62 gamma=34.02
Positions (direct):
Y  0.000  0.000  0.000
Y  0.117  0.117  0.427
Y  0.883  0.883  0.573
Tm  0.326  0.326  0.193
Tm  0.674  0.674  0.807
Co  0.320  0.320  0.761
Co  0.680  0.680  0.239

No. 2
Computed powder X-ray diffraction pattern of Y6TmCo3 for CuKα, from a DFT-relaxed cell (GGA-PBE, Alexandria).
Peak positions follow from Bragg's law for the DFT cell and can differ from measured ones.

Main lines, most intense first (2θ from 10° to 90°):
| 2theta | intensity |
| --- | --- |
| 32.72 | 100 |
| 31.14 | 25 |
| 31.93 | 23 |
| 40.78 | 20 |
| 18.93 | 15 |
| 56.43 | 14 |
| 50.65 | 14 |
| 32.95 | 13 |
| 61.11 | 13 |
| 47.50 | 12 |

Structure:
Unit cell a=8.431 b=8.431 c=7.209 alpha=90.00 beta=90.00 gamma=94.12
Positions (direct):
Y  0.001  0.501  0.521
Y  0.032  0.968  0.500
Y  0.283  0.284  0.258
Y  0.284  0.283  0.758
Y  0.332  0.668  0.763
Y  0.499  0.999  0.521
Y  0.501  0.001  0.021
Y  0.668  0.332  0.263
Y  0.716  0.717  0.258
Y  0.717  0.716  0.758
Y  0.968  0.032  0.000
Y  0.999  0.499  0.021
Tm  0.323  0.677  0.263
Tm  0.677  0.323  0.763
Co  0.031  0.755  0.784
Co  0.245  0.969  0.784
Co  0.498  0.502  0.512
Co  0.502  0.498  0.012
Co  0.755  0.031  0.284
Co  0.969  0.245  0.284

No. 3
Computed powder X-ray diffraction pattern of YTm12Co5 for CuKα, from a DFT-relaxed cell (GGA-PBE, Alexandria).
Peak positions follow from Bragg's law for the DFT cell and can differ from measured ones.

Main lines, most intense first (2θ from 10° to 90°):
| 2theta | intensity |
| --- | --- |
| 32.63 | 100 |
| 35.41 | 60 |
| 34.65 | 58 |
| 35.90 | 54 |
| 30.34 | 46 |
| 30.12 | 35 |
| 28.66 | 34 |
| 60.93 | 32 |
| 54.91 | 28 |
| 60.32 | 21 |

Structure:
Unit cell a=8.247 b=8.247 c=8.247 alpha=111.29 beta=111.08 gamma=106.09
Positions (direct):
Y  0.000  0.000  0.000
Tm  0.103  0.294  0.809
Tm  0.186  0.498  0.312
Tm  0.186  0.874  0.688
Tm  0.318  0.212  0.530
Tm  0.318  0.788  0.106
Tm  0.486  0.294  0.191
Tm  0.514  0.706  0.809
Tm  0.682  0.212  0.894
Tm  0.682  0.788  0.470
Tm  0.814  0.126  0.312
Tm  0.814  0.502  0.688
Tm  0.897  0.706  0.191
Co  0.127  0.500  0.627
Co  0.387  0.887  0.500
Co  0.500  0.500  0.000
Co  0.613  0.113  0.500
Co  0.873  0.500  0.373

No. 4
Computed powder X-ray diffraction pattern of Tm4Zn3Co for CuKα, from a DFT-relaxed cell (GGA-PBE, Alexandria).
Peak positions follow from Bragg's law for the DFT cell and can differ from measured ones.

Main lines, most intense first (2θ from 10° to 90°):
| 2theta | intensity |
| --- | --- |
| 36.58 | 100 |
| 36.96 | 50 |
| 66.34 | 34 |
| 25.90 | 22 |
| 53.26 | 17 |
| 65.59 | 16 |
| 25.38 | 11 |
| 77.74 | 10 |
| 45.36 | 9 |
| 52.11 | 8 |

Structure:
Unit cell a=3.440 b=3.440 c=14.040 alpha=90.00 beta=90.00 gamma=90.00
Positions (direct):
Tm  0.000  0.000  0.113
Tm  0.000  0.000  0.372
Tm  0.000  0.000  0.628
Tm  0.000  0.000  0.887
Zn  0.500  0.500  0.245
Zn  0.500  0.500  0.500
Zn  0.500  0.500  0.755
Co  0.500  0.500  0.000

No. 5
Computed powder X-ray diffraction pattern of Tm3ZnCo8 for CuKα, from a DFT-relaxed cell (GGA-PBE, Alexandria).
Peak positions follow from Bragg's law for the DFT cell and can differ from measured ones.

Main lines, most intense first (2θ from 10° to 90°):
| 2theta | intensity |
| --- | --- |
| 42.81 | 100 |
| 36.27 | 61 |
| 69.77 | 22 |
| 65.28 | 16 |
| 44.84 | 13 |
| 21.98 | 12 |
| 77.07 | 11 |
| 76.92 | 10 |
| 69.67 | 7 |
| 88.26 | 5 |

Structure:
Unit cell a=8.592 b=8.592 c=8.592 alpha=33.48 beta=33.48 gamma=33.48
Positions (direct):
Tm  0.000  0.000  0.000
Tm  0.128  0.128  0.128
Tm  0.618  0.618  0.618
Zn  0.496  0.496  0.496
Co  0.061  0.061  0.560
Co  0.061  0.560  0.061
Co  0.066  0.562  0.562
Co  0.312  0.312  0.312
Co  0.560  0.061  0.061
Co  0.562  0.066  0.562
Co  0.562  0.562  0.066
Co  0.812  0.812  0.812

No. 6
Computed powder X-ray diffraction pattern of Tm11Zn9Co4 for CuKα, from a DFT-relaxed cell (GGA-PBE, Alexandria).
Peak positions follow from Bragg's law for the DFT cell and can differ from measured ones.

Main lines, most intense first (2θ from 10° to 90°):
| 2theta | intensity |
| --- | --- |
| 36.81 | 100 |
| 37.91 | 42 |
| 65.57 | 16 |
| 39.32 | 15 |
| 51.35 | 14 |
| 25.02 | 11 |
| 26.50 | 11 |
| 26.61 | 9 |
| 29.84 | 9 |
| 87.14 | 9 |

Structure:
Unit cell a=12.092 b=12.092 c=3.559 alpha=90.00 beta=90.00 gamma=112.39
Positions (direct):
Tm  0.000  0.000  0.000
Tm  0.083  0.417  0.000
Tm  0.168  0.832  0.000
Tm  0.294  0.294  0.000
Tm  0.368  0.632  0.000
Tm  0.417  0.083  0.000
Tm  0.583  0.917  0.000
Tm  0.632  0.368  0.000
Tm  0.706  0.706  0.000
Tm  0.832  0.168  0.000
Tm  0.917  0.583  0.000
Zn  0.067  0.215  0.500
Zn  0.159  0.630  0.500
Zn  0.215  0.067  0.500
Zn  0.370  0.841  0.500
Zn  0.500  0.500  0.500
Zn  0.630  0.159  0.500
Zn  0.785  0.933  0.500
Zn  0.841  0.370  0.500
Zn  0.933  0.785  0.500
Co  0.264  0.452  0.500
Co  0.452  0.264  0.500
Co  0.548  0.736  0.500
Co  0.736  0.548  0.500

No. 7
Computed powder X-ray diffraction pattern of Tm2Zn16Co for CuKα, from a DFT-relaxed cell (GGA-PBE, Alexandria).
Peak positions follow from Bragg's law for the DFT cell and can differ from measured ones.

Main lines, most intense first (2θ from 10° to 90°):
| 2theta | intensity |
| --- | --- |
| 40.82 | 100 |
| 40.57 | 62 |
| 41.56 | 43 |
| 34.95 | 38 |
| 28.72 | 34 |
| 41.83 | 27 |
| 36.09 | 25 |
| 45.84 | 24 |
| 59.48 | 21 |
| 58.90 | 20 |

Structure:
Unit cell a=6.728 b=6.728 c=6.728 alpha=82.75 beta=82.75 gamma=82.75
Positions (direct):
Tm  0.000  0.000  0.000
Tm  0.337  0.337  0.337
Zn  0.020  0.020  0.500
Zn  0.020  0.500  0.020
Zn  0.174  0.656  0.656
Zn  0.311  0.311  0.815
Zn  0.311  0.815  0.311
Zn  0.371  0.661  0.952
Zn  0.371  0.952  0.661
Zn  0.500  0.020  0.020
Zn  0.656  0.174  0.656
Zn  0.656  0.656  0.174
Zn  0.661  0.371  0.952
Zn  0.661  0.952  0.371
Zn  0.760  0.760  0.760
Zn  0.815  0.311  0.311
Zn  0.952  0.371  0.661
Zn  0.952  0.661  0.371
Co  0.563  0.563  0.563

No. 8
Computed powder X-ray diffraction pattern of TmZn2Co9 for CuKα, from a DFT-relaxed cell (GGA-PBE, Alexandria).
Peak positions follow from Bragg's law for the DFT cell and can differ from measured ones.

Main lines, most intense first (2θ from 10° to 90°):
| 2theta | intensity |
| --- | --- |
| 40.37 | 100 |
| 45.85 | 54 |
| 44.35 | 36 |
| 46.79 | 35 |
| 36.97 | 30 |
| 45.07 | 30 |
| 35.46 | 22 |
| 51.02 | 17 |
| 72.12 | 16 |
| 37.88 | 15 |

Structure:
Unit cell a=8.005 b=8.005 c=4.750 alpha=90.00 beta=90.00 gamma=90.00
Positions (direct):
Tm  0.000  0.000  0.000
Tm  0.500  0.500  0.000
Zn  0.119  0.381  0.000
Zn  0.381  0.881  0.000
Zn  0.619  0.119  0.000
Zn  0.881  0.619  0.000
Co  0.000  0.500  0.500
Co  0.068  0.209  0.500
Co  0.178  0.678  0.236
Co  0.178  0.678  0.764
Co  0.209  0.932  0.500
Co  0.291  0.432  0.500
Co  0.322  0.178  0.236
Co  0.322  0.178  0.764
Co  0.432  0.709  0.500
Co  0.500  0.000  0.500
Co  0.568  0.291  0.500
Co  0.678  0.822  0.236
Co  0.678  0.822  0.764
Co  0.709  0.568  0.500
Co  0.791  0.068  0.500
Co  0.822  0.322  0.236
Co  0.822  0.322  0.764
Co  0.932  0.791  0.500

No. 9
Computed powder X-ray diffraction pattern of Tm4ZnCo3 for CuKα, from a DFT-relaxed cell (GGA-PBE, Alexandria).
Peak positions follow from Bragg's law for the DFT cell and can differ from measured ones.

Main lines, most intense first (2θ from 10° to 90°):
| 2theta | intensity |
| --- | --- |
| 33.14 | 100 |
| 34.83 | 55 |
| 28.43 | 42 |
| 41.76 | 37 |
| 58.59 | 24 |
| 45.55 | 23 |
| 45.99 | 22 |
| 42.08 | 20 |
| 35.20 | 19 |
| 66.73 | 14 |

Structure:
Unit cell a=3.946 b=3.983 c=10.197 alpha=90.00 beta=90.00 gamma=90.00
Positions (direct):
Tm  0.000  0.000  0.000
Tm  0.000  0.500  0.277
Tm  0.500  0.000  0.483
Tm  0.500  0.500  0.778
Zn  0.000  0.000  0.700
Co  0.000  0.500  0.561
Co  0.500  0.000  0.191
Co  0.500  0.500  0.079

No. 10
Computed powder X-ray diffraction pattern of Tm6ZrCo3 for CuKα, from a DFT-relaxed cell (GGA-PBE, Alexandria).
Peak positions follow from Bragg's law for the DFT cell and can differ from measured ones.

Main lines, most intense first (2θ from 10° to 90°):
| 2theta | intensity |
| --- | --- |
| 31.33 | 100 |
| 37.00 | 91 |
| 33.65 | 75 |
| 35.88 | 69 |
| 29.00 | 59 |
| 33.83 | 59 |
| 30.55 | 47 |
| 40.88 | 42 |
| 29.57 | 37 |
| 53.82 | 36 |

Structure:
Unit cell a=8.124 b=8.124 c=7.080 alpha=90.00 beta=90.00 gamma=100.39
Positions (direct):
Tm  0.025  0.975  0.500
Tm  0.037  0.418  0.360
Tm  0.292  0.376  0.001
Tm  0.322  0.678  0.624
Tm  0.376  0.292  0.501
Tm  0.418  0.037  0.860
Tm  0.582  0.963  0.360
Tm  0.624  0.708  0.001
Tm  0.678  0.322  0.124
Tm  0.708  0.624  0.501
Tm  0.963  0.582  0.860
Tm  0.975  0.025  0.000
Zr  0.224  0.776  0.174
Zr  0.776  0.224  0.674
Co  0.085  0.304  0.710
Co  0.304  0.085  0.210
Co  0.413  0.587  0.296
Co  0.587  0.413  0.796
Co  0.696  0.915  0.710
Co  0.915  0.696  0.210

No. 11
Computed powder X-ray diffraction pattern of TmZr2Co3 for CuKα, from a DFT-relaxed cell (GGA-PBE, Alexandria).
Peak positions follow from Bragg's law for the DFT cell and can differ from measured ones.

Main lines, most intense first (2θ from 10° to 90°):
| 2theta | intensity |
| --- | --- |
| 39.45 | 100 |
| 39.78 | 51 |
| 71.98 | 32 |
| 57.51 | 17 |
| 71.32 | 15 |
| 27.84 | 13 |
| 84.91 | 10 |
| 56.51 | 8 |
| 27.38 | 7 |
| 33.44 | 6 |

Structure:
Unit cell a=3.205 b=3.205 c=9.771 alpha=90.00 beta=90.00 gamma=90.00
Positions (direct):
Tm  0.000  0.000  0.000
Zr  0.000  0.000  0.336
Zr  0.000  0.000  0.664
Co  0.500  0.500  0.188
Co  0.500  0.500  0.500
Co  0.500  0.500  0.812

No. 12
Computed powder X-ray diffraction pattern of Tm4ZrCo5 for CuKα, from a DFT-relaxed cell (GGA-PBE, Alexandria).
Peak positions follow from Bragg's law for the DFT cell and can differ from measured ones.

Main lines, most intense first (2θ from 10° to 90°):
| 2theta | intensity |
| --- | --- |
| 38.95 | 100 |
| 70.55 | 33 |
| 27.27 | 23 |
| 56.31 | 11 |
| 48.20 | 7 |
| 83.60 | 7 |
| 63.60 | 7 |
| 56.17 | 5 |
| 83.72 | 4 |
| 63.68 | 3 |

Structure:
Unit cell a=3.268 b=3.268 c=16.375 alpha=90.00 beta=90.00 gamma=90.00
Positions (direct):
Tm  0.000  0.000  0.100
Tm  0.000  0.000  0.301
Tm  0.000  0.000  0.699
Tm  0.000  0.000  0.900
Zr  0.000  0.000  0.500
Co  0.500  0.500  0.000
Co  0.500  0.500  0.203
Co  0.500  0.500  0.411
Co  0.500  0.500  0.589
Co  0.500  0.500  0.797